No. 1
Simulated powder diffraction line list of Ac2Ag2Pd3 for λ = 1.5418 Å (Cu Kα), from the PBE geometry in Alexandria.
Kinematic intensities with the Lorentz-polarization factor, no thermal factor.

Structure:
```
14
Lattice="2.165 -9.830 0.000 2.165 9.830 0.000 0.000 0.000 7.900" Properties=species:S:1:pos:R:3 pbc="T T T"
Ac 2.165 8.597 5.925
Ac 2.165 6.804 1.975
Ac 2.165 -6.804 5.925
Ac 2.165 -8.597 1.975
Ag 2.165 3.784 0.435
Ag 2.165 3.784 3.515
Ag 2.165 -3.784 4.385
Ag 2.165 -3.784 7.465
Pd 2.165 5.349 5.925
Pd 2.165 1.170 4.544
Pd 2.165 1.170 7.306
Pd 2.165 -1.170 0.594
Pd 2.165 -1.170 3.356
Pd 2.165 -5.349 1.975
```

Principal peaks in the range 2θ from 10° to 90°, in order of falling intensity:
2θ/deg  I/Imax
32.8  100.0
31.0  83.4
38.8  42.6
41.7  33.3
58.3  25.8
67.5  21.0
33.6  18.3
29.5  17.9
36.6  16.4
51.9  14.5

---

No. 2
Simulated powder diffraction line list of UGe2I8 for λ = 1.5418 Å (Cu Kα), from the PBE geometry in Alexandria.
Kinematic intensities with the Lorentz-polarization factor, no thermal factor.

Structure:
```
11
Lattice="6.403 -5.780 0.000 6.403 5.780 0.000 -2.310 0.000 7.905" Properties=species:S:1:pos:R:3 pbc="T T T"
U 0.000 0.000 0.000
Ge 0.659 0.000 4.825
Ge 9.837 0.000 3.081
I 4.922 3.704 1.663
I 2.238 0.000 1.981
I 5.573 3.704 6.243
I 2.878 0.000 6.194
I 7.618 0.000 1.712
I 4.922 -3.704 1.663
I 8.258 0.000 5.924
I 5.573 -3.704 6.243
```

Principal peaks in the range 2θ from 10° to 90°, in order of falling intensity:
2θ/deg  I/Imax
10.5  100.0
27.8  75.3
21.9  74.7
28.3  68.2
15.3  49.7
43.9  43.0
31.8  42.6
22.5  29.7
42.4  27.6
43.7  26.2

---

No. 3
Simulated powder diffraction line list of MgZn11 for λ = 1.5418 Å (Cu Kα), from the PBE geometry in Alexandria.
Kinematic intensities with the Lorentz-polarization factor, no thermal factor.

Structure:
```
24
Lattice="-5.346 5.346 3.377 5.346 -5.346 3.377 5.346 5.346 -3.377" Properties=species:S:1:pos:R:3 pbc="T T T"
Mg 5.346 2.673 0.844
Mg 0.000 2.673 2.532
Zn 0.000 0.000 0.000
Zn 2.673 2.673 -1.688
Zn 2.673 -2.673 1.688
Zn 5.346 -2.673 2.532
Zn 4.053 -0.499 1.188
Zn 6.638 -0.499 1.188
Zn 2.174 1.380 0.500
Zn 8.517 1.380 0.500
Zn 4.053 4.846 -1.188
Zn 1.293 -0.499 2.188
Zn 2.174 3.966 0.500
Zn 3.172 -1.380 3.877
Zn 0.000 5.346 0.000
Zn 2.174 6.725 -0.500
Zn 3.172 1.380 2.877
Zn 4.053 5.845 1.188
Zn 1.293 0.499 4.565
Zn -3.172 3.966 2.877
Zn 3.172 3.966 2.877
Zn -1.293 5.845 2.188
Zn 1.293 5.845 2.188
Zn 0.000 8.018 0.844
```

Principal peaks in the range 2θ from 10° to 90°, in order of falling intensity:
2θ/deg  I/Imax
44.5  100.0
37.6  72.5
46.5  23.7
15.5  17.7
16.6  17.0
67.9  15.8
41.0  14.5
72.7  12.1
80.3  11.6
33.0  11.3

---

No. 4
Simulated powder diffraction line list of Er6SbPb3Se2 for λ = 1.5418 Å (Cu Kα), from the PBE geometry in Alexandria.
Kinematic intensities with the Lorentz-polarization factor, no thermal factor.

Structure:
```
12
Lattice="3.647 -6.289 0.000 3.647 6.289 0.000 -2.422 0.000 7.278" Properties=species:S:1:pos:R:3 pbc="T T T"
Er -0.019 2.145 5.535
Er 1.153 0.000 1.695
Er -0.019 -2.145 5.535
Er 4.892 2.145 1.743
Er 3.720 0.000 5.584
Er 4.892 -2.145 1.743
Sb 3.647 0.000 0.000
Pb -1.211 0.000 3.639
Pb 2.436 2.031 3.639
Pb 2.436 -2.031 3.639
Se 3.647 4.184 0.000
Se 3.647 -4.184 0.000
```

Principal peaks in the range 2θ from 10° to 90°, in order of falling intensity:
2θ/deg  I/Imax
29.5  100.0
41.4  39.7
43.0  24.1
53.1  13.0
43.2  11.9
68.1  11.8
70.5  11.0
61.3  8.2
50.1  7.4
74.2  6.7

---

No. 5
Simulated powder diffraction line list of UPbO5 for λ = 1.5418 Å (Cu Kα), from the PBE geometry in Alexandria.
Kinematic intensities with the Lorentz-polarization factor, no thermal factor.

Structure:
```
14
Lattice="4.073 0.000 0.000 0.000 6.875 0.000 0.000 0.000 8.239" Properties=species:S:1:pos:R:3 pbc="T T T"
U 0.000 0.000 0.000
U 2.037 3.438 4.120
Pb 0.000 0.000 4.120
Pb 2.037 3.438 0.000
O 0.000 0.000 2.064
O 0.000 0.000 6.176
O 0.000 2.070 0.000
O 0.000 3.438 4.120
O 0.000 4.805 0.000
O 2.037 0.000 0.000
O 2.037 1.367 4.120
O 2.037 3.438 2.056
O 2.037 3.438 6.183
O 2.037 5.508 4.120
```

Principal peaks in the range 2θ from 10° to 90°, in order of falling intensity:
2θ/deg  I/Imax
25.4  100.0
21.6  77.8
33.6  71.1
25.9  51.8
34.0  37.9
51.5  30.5
50.8  28.2
45.4  25.4
57.1  18.6
65.0  17.4

---

No. 6
Simulated powder diffraction line list of BaP2SeO8 for λ = 1.5418 Å (Cu Kα), from the PBE geometry in Alexandria.
Kinematic intensities with the Lorentz-polarization factor, no thermal factor.

Structure:
```
12
Lattice="2.442 1.410 8.099 -2.442 1.410 8.099 0.000 -2.819 8.099" Properties=species:S:1:pos:R:3 pbc="T T T"
Ba 0.000 0.000 0.000
P 0.000 0.000 5.868
P 0.000 0.000 18.430
Se 0.000 0.000 12.149
O -0.966 -1.245 10.813
O -0.595 -1.459 13.485
O 0.000 0.000 7.401
O -0.595 1.459 10.813
O -0.966 1.245 13.485
O 0.000 0.000 16.897
O 1.561 -0.214 10.813
O 1.561 0.214 13.485
```

Principal peaks in the range 2θ from 10° to 90°, in order of falling intensity:
2θ/deg  I/Imax
25.7  100.0
36.8  31.8
36.4  23.1
43.3  20.5
22.3  19.7
59.8  15.6
59.3  15.0
45.4  14.0
42.9  10.5
52.7  10.2

---

What is the formula in the fifth record? UPbO5

---

Repeat the third record exactly.
Simulated powder diffraction line list of MgZn11 for λ = 1.5418 Å (Cu Kα), from the PBE geometry in Alexandria.
Kinematic intensities with the Lorentz-polarization factor, no thermal factor.

Structure:
```
24
Lattice="-5.346 5.346 3.377 5.346 -5.346 3.377 5.346 5.346 -3.377" Properties=species:S:1:pos:R:3 pbc="T T T"
Mg 5.346 2.673 0.844
Mg 0.000 2.673 2.532
Zn 0.000 0.000 0.000
Zn 2.673 2.673 -1.688
Zn 2.673 -2.673 1.688
Zn 5.346 -2.673 2.532
Zn 4.053 -0.499 1.188
Zn 6.638 -0.499 1.188
Zn 2.174 1.380 0.500
Zn 8.517 1.380 0.500
Zn 4.053 4.846 -1.188
Zn 1.293 -0.499 2.188
Zn 2.174 3.966 0.500
Zn 3.172 -1.380 3.877
Zn 0.000 5.346 0.000
Zn 2.174 6.725 -0.500
Zn 3.172 1.380 2.877
Zn 4.053 5.845 1.188
Zn 1.293 0.499 4.565
Zn -3.172 3.966 2.877
Zn 3.172 3.966 2.877
Zn -1.293 5.845 2.188
Zn 1.293 5.845 2.188
Zn 0.000 8.018 0.844
```

Principal peaks in the range 2θ from 10° to 90°, in order of falling intensity:
2θ/deg  I/Imax
44.5  100.0
37.6  72.5
46.5  23.7
15.5  17.7
16.6  17.0
67.9  15.8
41.0  14.5
72.7  12.1
80.3  11.6
33.0  11.3

---

Please write out number 1 again, unchanged.
Simulated powder diffraction line list of Ac2Ag2Pd3 for λ = 1.5418 Å (Cu Kα), from the PBE geometry in Alexandria.
Kinematic intensities with the Lorentz-polarization factor, no thermal factor.

Structure:
```
14
Lattice="2.165 -9.830 0.000 2.165 9.830 0.000 0.000 0.000 7.900" Properties=species:S:1:pos:R:3 pbc="T T T"
Ac 2.165 8.597 5.925
Ac 2.165 6.804 1.975
Ac 2.165 -6.804 5.925
Ac 2.165 -8.597 1.975
Ag 2.165 3.784 0.435
Ag 2.165 3.784 3.515
Ag 2.165 -3.784 4.385
Ag 2.165 -3.784 7.465
Pd 2.165 5.349 5.925
Pd 2.165 1.170 4.544
Pd 2.165 1.170 7.306
Pd 2.165 -1.170 0.594
Pd 2.165 -1.170 3.356
Pd 2.165 -5.349 1.975
```

Principal peaks in the range 2θ from 10° to 90°, in order of falling intensity:
2θ/deg  I/Imax
32.8  100.0
31.0  83.4
38.8  42.6
41.7  33.3
58.3  25.8
67.5  21.0
33.6  18.3
29.5  17.9
36.6  16.4
51.9  14.5